This entry pairs a crystal structure of ReTcH with its simulated powder X-ray diffraction pattern. Radiation: copper Kα. Structure: the PBE geometry in Alexandria.

Cell lengths 4.9261, 4.4659, 5.6920 Å; angles 90.00, 90.05, 90.00 degrees
Fractional coordinates of all 12 atoms:
Re 0.0842 0.2446 0.3756
Re 0.0842 0.2554 0.8756
Re 0.9158 0.7446 0.1244
Re 0.9158 0.7554 0.6244
Tc 0.4191 0.7458 0.8755
Tc 0.4191 0.7542 0.3755
Tc 0.5809 0.2458 0.6245
Tc 0.5809 0.2542 0.1245
H 0.2546 0.5047 0.6236
H 0.2546 0.9953 0.1236
H 0.7454 0.0047 0.8764
H 0.7454 0.4953 0.3764

Main lines, in order of rising 2θ (2θ = 15–90°):
two_theta, d (Å), intensity
18.0, 4.926, 11
36.5, 2.464, 24
37.5, 2.400, 5
40.4, 2.233, 24
41.9, 2.157, 100
55.5, 1.655, 15
65.6, 1.423, 18
74.5, 1.274, 18
80.0, 1.200, 20
81.0, 1.188, 15



This entry pairs a crystal structure of Er2Zn5Ni4 with its simulated powder X-ray diffraction pattern. Radiation: copper Kα. Structure: the PBE geometry in Alexandria.

Cell lengths 9.0072, 8.2925, 5.0485 Å; angles 80.98, 65.40, 33.61 degrees
Fractional coordinates of all 11 atoms:
Er 0.1394 0.1394 0.8606
Er 0.8606 0.8606 0.1394
Zn 0.0000 0.0000 0.5000
Zn 0.2500 0.2500 0.2500
Zn 0.5000 0.5000 0.0000
Zn 0.5000 0.5000 0.5000
Zn 0.7500 0.7500 0.7500
Ni 0.2140 0.5293 0.4707
Ni 0.4707 0.7860 0.2140
Ni 0.5293 0.2140 0.7860
Ni 0.7860 0.4707 0.5293

Main lines, in order of rising 2θ (2θ = 15–90°):
two_theta, d (Å), intensity
26.4, 3.381, 61
30.6, 2.922, 58
36.0, 2.492, 43
39.6, 2.275, 100
40.9, 2.207, 51
42.1, 2.148, 85
46.0, 1.971, 64
54.6, 1.681, 27
63.2, 1.470, 20
65.9, 1.417, 21



This entry pairs a crystal structure of RbLiNpO3 with its simulated powder X-ray diffraction pattern. Radiation: copper Kα. Structure: the PBE geometry in Alexandria.

Cell lengths 6.5346, 6.5346, 8.9320 Å; angles 90.00, 90.00, 148.52 degrees
Fractional coordinates of all 12 atoms:
Rb 0.2305 0.7695 0.7500
Rb 0.7695 0.2305 0.2500
Li 0.0452 0.9548 0.2500
Li 0.9548 0.0452 0.7500
Np 0.5000 0.5000 0.0000
Np 0.5000 0.5000 0.5000
O 0.1042 0.8958 0.0507
O 0.1042 0.8958 0.4493
O 0.4674 0.5326 0.2500
O 0.5326 0.4674 0.7500
O 0.8958 0.1042 0.5507
O 0.8958 0.1042 0.9493

Main lines, in order of rising 2θ (2θ = 15–90°):
two_theta, d (Å), intensity
19.9, 4.466, 19
24.4, 3.641, 100
26.1, 3.413, 39
28.4, 3.145, 32
33.1, 2.710, 86
38.9, 2.315, 27
40.4, 2.233, 18
48.8, 1.864, 31
53.2, 1.723, 20
57.9, 1.594, 20



This entry pairs a crystal structure of Rb2BaO2 with its simulated powder X-ray diffraction pattern. Radiation: copper Kα. Structure: the PBE geometry in Alexandria.

Cell lengths 10.0015, 7.5740, 7.3243 Å; angles 90.00, 94.37, 90.00 degrees
Fractional coordinates of all 20 atoms:
Rb 0.0126 0.2495 0.0245
Rb 0.0126 0.2505 0.5245
Rb 0.3194 0.6473 0.4117
Rb 0.3194 0.8527 0.9117
Rb 0.6806 0.1473 0.0883
Rb 0.6806 0.3527 0.5883
Rb 0.9874 0.7495 0.4755
Rb 0.9874 0.7505 0.9755
Ba 0.3640 0.1129 0.3523
Ba 0.3640 0.3871 0.8523
Ba 0.6360 0.6129 0.1477
Ba 0.6360 0.8871 0.6477
O 0.1512 0.5477 0.7320
O 0.1512 0.9523 0.2320
O 0.4452 0.1032 0.6993
O 0.4452 0.3968 0.1993
O 0.5548 0.6032 0.8007
O 0.5548 0.8968 0.3007
O 0.8488 0.0477 0.7680
O 0.8488 0.4523 0.2680

Main lines, in order of rising 2θ (2θ = 15–90°):
two_theta, d (Å), intensity
18.6, 4.759, 34
26.5, 3.362, 43
26.6, 3.348, 89
26.8, 3.324, 89
28.3, 3.152, 100
29.2, 3.059, 66
31.6, 2.834, 63
37.4, 2.406, 35
46.1, 1.970, 30
49.0, 1.860, 26



This entry pairs a crystal structure of LiTl3Rh with its simulated powder X-ray diffraction pattern. Radiation: copper Kα. Structure: the PBE geometry in Alexandria.

Cell lengths 8.2549, 5.6859, 9.5795 Å; angles 90.00, 106.12, 90.00 degrees
Fractional coordinates of all 20 atoms:
Li 0.1347 0.2473 0.1590
Li 0.1347 0.2527 0.6590
Li 0.8653 0.7473 0.3410
Li 0.8653 0.7527 0.8410
Tl 0.0894 0.7499 0.1518
Tl 0.0894 0.7501 0.6518
Tl 0.2984 0.0199 0.4549
Tl 0.2984 0.4801 0.9549
Tl 0.4986 0.0033 0.8311
Tl 0.4986 0.4967 0.3311
Tl 0.5014 0.5033 0.6689
Tl 0.5014 0.9967 0.1689
Tl 0.7016 0.5199 0.0451
Tl 0.7016 0.9801 0.5451
Tl 0.9106 0.2499 0.3482
Tl 0.9106 0.2501 0.8482
Rh 0.2040 0.5247 0.4280
Rh 0.2040 0.9753 0.9280
Rh 0.7960 0.0247 0.0720
Rh 0.7960 0.4753 0.5720

Main lines, in order of rising 2θ (2θ = 15–90°):
two_theta, d (Å), intensity
24.9, 3.576, 52
32.3, 2.771, 57
33.2, 2.700, 60
33.5, 2.676, 100
33.7, 2.661, 83
34.1, 2.629, 75
36.3, 2.477, 54
37.5, 2.395, 58
40.6, 2.225, 63
40.8, 2.213, 64



This entry pairs a crystal structure of Zn4FeCu10Sn5Se20 with its simulated powder X-ray diffraction pattern. Radiation: copper Kα. Structure: the PBE geometry in Alexandria.

Cell lengths 10.7832, 10.7832, 16.3448 Å; angles 101.17, 101.17, 30.89 degrees
Fractional coordinates of all 40 atoms:
Zn 0.1000 0.1000 0.3998
Zn 0.3004 0.2992 0.2000
Zn 0.7008 0.6996 0.8000
Zn 0.9000 0.9000 0.6002
Fe 0.5018 0.4982 0.0000
Cu 0.0986 0.0987 0.1481
Cu 0.1021 0.0982 0.6501
Cu 0.2984 0.3027 0.9496
Cu 0.3009 0.2986 0.4497
Cu 0.5020 0.4977 0.2497
Cu 0.5023 0.4980 0.7503
Cu 0.6973 0.7016 0.0504
Cu 0.7014 0.6991 0.5503
Cu 0.9013 0.9014 0.8519
Cu 0.9018 0.8979 0.3499
Sn 0.0998 0.1009 0.9005
Sn 0.2999 0.3013 0.7007
Sn 0.4987 0.5013 0.5000
Sn 0.6987 0.7001 0.2993
Sn 0.8991 0.9002 0.0995
Se 0.1343 0.6530 0.4710
Se 0.1456 0.6678 0.7301
Se 0.1636 0.6405 0.2329
Se 0.1696 0.6325 0.9678
Se 0.3322 0.8544 0.2699
Se 0.3470 0.8657 0.5290
Se 0.3595 0.8364 0.7671
Se 0.3675 0.8304 0.0322
Se 0.5302 0.0559 0.0703
Se 0.5476 0.0641 0.3291
Se 0.5567 0.0388 0.5676
Se 0.5639 0.0418 0.8333
Se 0.7260 0.2622 0.8742
Se 0.7378 0.2740 0.1258
Se 0.7579 0.2369 0.3670
Se 0.7631 0.2421 0.6330
Se 0.9359 0.4524 0.6709
Se 0.9441 0.4698 0.9297
Se 0.9582 0.4361 0.1667
Se 0.9612 0.4433 0.4324

Main lines, in order of rising 2θ (2θ = 15–90°):
two_theta, d (Å), intensity
26.8, 3.326, 100
44.3, 2.043, 12
44.5, 2.037, 37
44.6, 2.033, 24
52.5, 1.743, 7
52.6, 1.739, 14
52.8, 1.733, 22
71.4, 1.322, 8
81.9, 1.177, 7
82.1, 1.174, 7



This entry pairs a crystal structure of Sr3As3P with its simulated powder X-ray diffraction pattern. Radiation: copper Kα. Structure: the PBE geometry in Alexandria.

Cell lengths 10.2952, 10.2952, 12.9257 Å; angles 90.00, 90.00, 37.43 degrees
Fractional coordinates of all 28 atoms:
Sr 0.0035 0.6745 0.6389
Sr 0.1745 0.5035 0.1389
Sr 0.2280 0.7720 0.8778
Sr 0.2720 0.7280 0.3778
Sr 0.3255 0.9965 0.6389
Sr 0.4965 0.8255 0.1389
Sr 0.5035 0.1745 0.8611
Sr 0.6745 0.0035 0.3611
Sr 0.7280 0.2720 0.6222
Sr 0.7720 0.2280 0.1222
Sr 0.8255 0.4965 0.8611
Sr 0.9965 0.3255 0.3611
As 0.0076 0.6435 0.8849
As 0.1435 0.5076 0.3849
As 0.2082 0.7918 0.6352
As 0.2918 0.7082 0.1352
As 0.3565 0.9924 0.8849
As 0.4924 0.8565 0.3849
As 0.5076 0.1435 0.6151
As 0.6435 0.0076 0.1151
As 0.7082 0.2918 0.8648
As 0.7918 0.2082 0.3648
As 0.8565 0.4924 0.6151
As 0.9924 0.3565 0.1151
P 0.1097 0.1097 0.0000
P 0.3903 0.3903 0.5000
P 0.6097 0.6097 0.5000
P 0.8903 0.8903 0.0000

Main lines, in order of rising 2θ (2θ = 15–90°):
two_theta, d (Å), intensity
27.0, 3.303, 44
27.4, 3.250, 100
27.6, 3.231, 89
27.9, 3.200, 51
34.2, 2.622, 23
38.9, 2.317, 43
39.0, 2.310, 46
39.3, 2.292, 80
39.5, 2.280, 38
48.3, 1.883, 35



This entry pairs a crystal structure of TbSmHoTm2 with its simulated powder X-ray diffraction pattern. Radiation: copper Kα. Structure: the PBE geometry in Alexandria.

Cell lengths 7.0501, 7.0501, 7.1601 Å; angles 90.00, 90.00, 107.60 degrees
Fractional coordinates of all 10 atoms:
Tb 0.9998 0.0002 0.2500
Tb 0.0002 0.9998 0.7500
Sm 0.2738 0.7262 0.7500
Sm 0.7262 0.2738 0.2500
Ho 0.2788 0.7212 0.2500
Ho 0.7212 0.2788 0.7500
Tm 0.3113 0.3113 0.0000
Tm 0.3113 0.3113 0.5000
Tm 0.6887 0.6887 0.0000
Tm 0.6887 0.6887 0.5000

Main lines, in order of rising 2θ (2θ = 15–90°):
two_theta, d (Å), intensity
26.5, 3.360, 50
28.2, 3.160, 32
29.5, 3.030, 60
31.4, 2.845, 61
33.0, 2.715, 100
33.2, 2.697, 33
36.1, 2.485, 58
40.3, 2.240, 43
46.2, 1.964, 65
66.7, 1.403, 35



This entry pairs a crystal structure of Er3S3OF with its simulated powder X-ray diffraction pattern. Radiation: copper Kα. Structure: the PBE geometry in Alexandria.

Cell lengths 3.7576, 3.7576, 20.9772 Å; angles 90.00, 90.00, 90.00 degrees
Fractional coordinates of all 16 atoms:
Er 0.0000 0.0000 0.0000
Er 0.0000 0.0000 0.3134
Er 0.0000 0.0000 0.6866
Er 0.5000 0.5000 0.1866
Er 0.5000 0.5000 0.5000
Er 0.5000 0.5000 0.8134
S 0.0000 0.0000 0.1287
S 0.0000 0.0000 0.5000
S 0.0000 0.0000 0.8713
S 0.5000 0.5000 0.0000
S 0.5000 0.5000 0.3713
S 0.5000 0.5000 0.6287
O 0.0000 0.5000 0.7500
O 0.5000 0.0000 0.2500
F 0.0000 0.5000 0.2500
F 0.5000 0.0000 0.7500

Main lines, in order of rising 2θ (2θ = 15–90°):
two_theta, d (Å), intensity
25.5, 3.496, 33
26.9, 3.310, 100
32.0, 2.799, 19
33.7, 2.657, 59
38.4, 2.343, 24
42.7, 2.115, 46
48.5, 1.879, 26
55.5, 1.655, 16
55.8, 1.646, 17
56.3, 1.634, 28